(1)
Starting from the GGA-PBE geometry in OQMD, the X-ray diffraction stick pattern of LaDy2Al7Ag2 was computed for Cu Kα.

Top 10 peaks for 10° ≤ 2θ ≤ 90°, in order of rising 2θ:
- 2θ = 20.13°, I 358
- 2θ = 22.73°, I 222
- 2θ = 29.96°, I 270
- 2θ = 31.95°, I 862
- 2θ = 32.76°, I 187
- 2θ = 38.06°, I 1000
- 2θ = 56.95°, I 163
- 2θ = 61.03°, I 245
- 2θ = 62.20°, I 246
- 2θ = 66.80°, I 176

Crystal structure
```
LaDy2Al7Ag2
1.0
2.8007 1.6170 8.8240
-2.8007 1.6170 8.8240
0.0000 -3.2340 8.8240
La Dy Al Ag
1 2 7 2
Direct
0.0000 0.0000 0.0000 La
0.1420 0.1420 0.1420 Dy
0.8580 0.8580 0.8580 Dy
0.0762 0.5886 0.5886 Al
0.4114 0.4114 0.9238 Al
0.4114 0.9238 0.4114 Al
0.5000 0.5000 0.5000 Al
0.5886 0.0762 0.5886 Al
0.5886 0.5886 0.0762 Al
0.9238 0.4114 0.4114 Al
0.3359 0.3359 0.3359 Ag
0.6641 0.6641 0.6641 Ag
```

(2)
Starting from the GGA-PBE geometry in OQMD, the X-ray diffraction stick pattern of K2H2PdCl2 was computed for Cu Kα.

Top 10 peaks for 10° ≤ 2θ ≤ 90°, in order of rising 2θ:
- 2θ = 16.49°, I 722
- 2θ = 17.84°, I 671
- 2θ = 28.92°, I 1000
- 2θ = 30.85°, I 442
- 2θ = 33.11°, I 214
- 2θ = 38.25°, I 412
- 2θ = 44.27°, I 301
- 2θ = 46.50°, I 249
- 2θ = 50.74°, I 166
- 2θ = 59.93°, I 198

Crystal structure
```
K2H2PdCl2
1.0
-3.5669 4.0895 3.1311
3.5669 -4.0895 3.1311
3.5669 4.0895 -3.1311
K H Pd Cl
2 2 1 2
Direct
0.2479 0.0000 0.2479 K
0.7521 0.0000 0.7521 K
0.2707 0.1246 0.8539 H
0.2707 0.4168 0.1461 H
0.4594 0.4594 0.0000 Pd
0.7331 0.4891 0.7560 Cl
0.7331 0.9770 0.2440 Cl
```

(3)
Starting from the GGA-PBE geometry in OQMD, the X-ray diffraction stick pattern of Ho3Te5Pd was computed for Cu Kα.

Top 10 peaks for 10° ≤ 2θ ≤ 90°, in order of rising 2θ:
- 2θ = 31.53°, I 1000
- 2θ = 31.84°, I 320
- 2θ = 33.81°, I 363
- 2θ = 36.24°, I 563
- 2θ = 39.97°, I 343
- 2θ = 48.12°, I 155
- 2θ = 58.86°, I 110
- 2θ = 59.44°, I 192
- 2θ = 61.70°, I 238
- 2θ = 62.26°, I 201

Crystal structure
```
Ho3Te5Pd
1.0
8.5865 0.0000 0.0000
-4.2932 7.4361 0.0000
0.0000 0.0000 3.7817
Ho Te Pd
3 5 1
Direct
0.0000 0.6389 0.0000 Ho
0.3611 0.3611 0.0000 Ho
0.6389 0.0000 0.0000 Ho
0.0000 0.2432 0.5000 Te
0.2432 0.0000 0.5000 Te
0.3333 0.6667 0.5000 Te
0.6667 0.3333 0.5000 Te
0.7568 0.7568 0.5000 Te
0.0000 0.0000 0.0000 Pd
```

(4)
Starting from the GGA-PBE geometry in OQMD, the X-ray diffraction stick pattern of PaNbO6 was computed for Cu Kα.

Top 10 peaks for 10° ≤ 2θ ≤ 90°, in order of rising 2θ:
- 2θ = 18.53°, I 199
- 2θ = 21.42°, I 1000
- 2θ = 30.48°, I 536
- 2θ = 35.91°, I 148
- 2θ = 37.56°, I 125
- 2θ = 43.65°, I 209
- 2θ = 49.12°, I 427
- 2θ = 54.17°, I 225
- 2θ = 63.43°, I 128
- 2θ = 67.75°, I 120

Crystal structure
```
PaNbO6
1.0
2.9309 1.6922 4.7953
-2.9309 1.6922 4.7953
0.0000 -3.3844 4.7953
Pa Nb O
1 1 6
Direct
0.0000 0.0000 0.0000 Pa
0.5000 0.5000 0.5000 Nb
0.2594 0.7388 0.2632 O
0.2612 0.7368 0.7406 O
0.2632 0.2594 0.7388 O
0.7368 0.7406 0.2612 O
0.7388 0.2632 0.2594 O
0.7406 0.2612 0.7368 O
```

(5)
Starting from the GGA-PBE geometry in OQMD, the X-ray diffraction stick pattern of K3ReClF6 was computed for Cu Kα.

Top 10 peaks for 10° ≤ 2θ ≤ 90°, in order of rising 2θ:
- 2θ = 15.14°, I 375
- 2θ = 15.68°, I 1000
- 2θ = 21.86°, I 944
- 2θ = 22.24°, I 564
- 2θ = 27.02°, I 895
- 2θ = 30.56°, I 319
- 2θ = 31.66°, I 608
- 2θ = 38.81°, I 551
- 2θ = 44.58°, I 448
- 2θ = 60.72°, I 295

Crystal structure
```
K3ReClF6
1.0
7.9931 0.0000 0.0000
0.0000 7.9931 0.0000
0.0000 0.0000 5.8505
K Re Cl F
6 2 2 12
Direct
0.0000 0.0000 0.0000 K
0.1805 0.3195 0.5000 K
0.3195 0.8195 0.5000 K
0.5000 0.5000 0.0000 K
0.6805 0.1805 0.5000 K
0.8195 0.6805 0.5000 K
0.0000 0.5000 0.0000 Re
0.5000 0.0000 0.0000 Re
0.0000 0.0000 0.5000 Cl
0.5000 0.5000 0.5000 Cl
0.1176 0.6176 0.2499 F
0.1176 0.6176 0.7501 F
0.1756 0.3244 0.0000 F
0.3244 0.8244 0.0000 F
0.3824 0.1176 0.2499 F
0.3824 0.1176 0.7501 F
0.6176 0.8824 0.2499 F
0.6176 0.8824 0.7501 F
0.6756 0.1756 0.0000 F
0.8244 0.6756 0.0000 F
0.8824 0.3824 0.2499 F
0.8824 0.3824 0.7501 F
```

(6)
Starting from the GGA-PBE geometry in OQMD, the X-ray diffraction stick pattern of Nd3AlIBr2 was computed for Cu Kα.

Top 10 peaks for 10° ≤ 2θ ≤ 90°, in order of rising 2θ:
- 2θ = 20.59°, I 482
- 2θ = 28.93°, I 1000
- 2θ = 29.61°, I 470
- 2θ = 35.77°, I 237
- 2θ = 41.38°, I 376
- 2θ = 41.88°, I 727
- 2θ = 51.70°, I 391
- 2θ = 67.92°, I 172
- 2θ = 68.28°, I 169
- 2θ = 75.80°, I 251

Crystal structure
```
Nd3AlIBr2
1.0
6.1721 0.0000 0.0000
0.0000 6.1721 0.0000
0.0000 0.0000 6.0331
Nd Al I Br
3 1 1 2
Direct
0.0000 0.0000 0.0000 Nd
0.0000 0.5000 0.5000 Nd
0.5000 0.0000 0.5000 Nd
0.0000 0.0000 0.5000 Al
0.5000 0.5000 0.5000 I
0.0000 0.5000 0.0000 Br
0.5000 0.0000 0.0000 Br
```

(7)
Starting from the GGA-PBE geometry in OQMD, the X-ray diffraction stick pattern of ScPbAuSe3 was computed for Cu Kα.

Top 10 peaks for 10° ≤ 2θ ≤ 90°, in order of rising 2θ:
- 2θ = 17.25°, I 423
- 2θ = 25.29°, I 577
- 2θ = 28.28°, I 930
- 2θ = 29.53°, I 987
- 2θ = 32.86°, I 952
- 2θ = 34.26°, I 439
- 2θ = 35.66°, I 686
- 2θ = 36.26°, I 1000
- 2θ = 36.51°, I 658
- 2θ = 45.40°, I 829

Crystal structure
```
ScPbAuSe3
1.0
7.7998 0.0000 0.0000
0.0000 3.9963 0.0000
-2.8946 0.0000 9.3690
Sc Pb Au Se
2 2 2 6
Direct
0.1900 0.2500 0.1668 Sc
0.8100 0.7500 0.8332 Sc
0.2425 0.7500 0.7146 Pb
0.7575 0.2500 0.2854 Pb
0.3867 0.7500 0.4033 Au
0.6133 0.2500 0.5967 Au
0.0683 0.2500 0.8750 Se
0.1880 0.2500 0.4544 Se
0.4273 0.7500 0.1523 Se
0.5727 0.2500 0.8477 Se
0.8120 0.7500 0.5456 Se
0.9317 0.7500 0.1250 Se
```

(8)
Starting from the GGA-PBE geometry in OQMD, the X-ray diffraction stick pattern of BeReSnBi was computed for Cu Kα.

Top 10 peaks for 10° ≤ 2θ ≤ 90°, in order of rising 2θ:
- 2θ = 22.97°, I 341
- 2θ = 26.59°, I 88
- 2θ = 37.95°, I 1000
- 2θ = 44.83°, I 182
- 2θ = 54.76°, I 177
- 2θ = 60.15°, I 77
- 2θ = 68.56°, I 367
- 2θ = 73.36°, I 57
- 2θ = 81.13°, I 119
- 2θ = 85.71°, I 59

Crystal structure
```
BeReSnBi
1.0
0.0000 3.3528 3.3528
3.3528 0.0000 3.3528
3.3528 3.3528 0.0000
Be Re Sn Bi
1 1 1 1
Direct
0.0000 0.0000 0.0000 Be
0.5000 0.5000 0.5000 Re
0.7500 0.7500 0.7500 Sn
0.2500 0.2500 0.2500 Bi
```